# 1
The following is a calculated powder XRD pattern of K4CdBr2. It was derived from the PBE geometry in Alexandria, using Cu Kα (weighted mean of Kα1 and Kα2).
Lines closer than 0.1° are merged.

Main lines, most intense first (10° ≤ 2θ ≤ 80°):
index	2θ/deg	Rel. int.
1 0 5	29.16	1000
2 0 0	27.32	815
1 1 0	19.23	759
2 1 5	40.38	735
0 0 2	10.20	464
1 0 3	20.51	355
2 2 0	39.02	300
3 2 5	57.40	248
2 1 3	34.40	210
4 1 5	64.72	185

Atomic structure:
```
data_K4CdBr2
_cell_length_a 6.5287
_cell_length_b 6.5287
_cell_length_c 17.3520
_cell_angle_alpha 90.00
_cell_angle_beta 90.00
_cell_angle_gamma 90.00
_space_group_name_H-M_alt 'I 4/m m m'
_space_group_IT_number 139
_space_group_name_Hall '-I 4 2'
loop_
_atom_site_label
_atom_site_type_symbol
_atom_site_fract_x
_atom_site_fract_y
_atom_site_fract_z
K1 K 0.0000 0.0000 0.2093
K2 K 0.0000 0.5000 0.0000
Cd1 Cd 0.0000 0.0000 0.0000
Br1 Br 0.0000 0.0000 0.3884
```

---

# 2
The following is a calculated powder XRD pattern of LiPr3Zn3. It was derived from the PBE geometry in Alexandria, using Cu Kα (weighted mean of Kα1 and Kα2).
Lines closer than 0.1° are merged.

Main lines, most intense first (10° ≤ 2θ ≤ 80°):
index	2θ/deg	Rel. int.
1 1 -4	29.86	1000
3 1 -1	33.04	659
0 2 0	36.95	359
3 1 5	53.32	224
2 0 3	30.76	189
4 0 -2	36.48	170
2 0 -4	25.92	158
3 1 2	39.68	135
1 1 2	25.61	133
4 0 1	41.17	129

Atomic structure:
```
data_LiPr3Zn3
_cell_length_a 9.8591
_cell_length_b 4.8654
_cell_length_c 15.2078
_cell_angle_alpha 90.00
_cell_angle_beta 108.85
_cell_angle_gamma 90.00
_space_group_name_H-M_alt 'C 1 2/m 1'
_space_group_IT_number 12
loop_
_space_group_symop_operation_xyz
'x,y,z'
'-x,-y,-z'
'-x,y,-z'
'x,-y,z'
'x+1/2,y+1/2,z'
'-x+1/2,-y+1/2,-z'
'-x+1/2,y+1/2,-z'
'x+1/2,-y+1/2,z'
loop_
_atom_site_label
_atom_site_type_symbol
_atom_site_fract_x
_atom_site_fract_y
_atom_site_fract_z
Li1 Li 0.2309 0.0000 0.4167
Pr1 Pr 0.0220 0.5000 0.3726
Pr2 Pr 0.1058 0.5000 0.9252
Pr3 Pr 0.2342 0.0000 0.7800
Zn1 Zn 0.0810 0.0000 0.2414
Zn2 Zn 0.0934 0.0000 0.0781
Zn3 Zn 0.1290 0.0000 0.5588
```